1.
Starting from a DFT-relaxed cell (GGA-PBE, Alexandria), the powder X-ray diffraction pattern of Tb3DyIn4Te8 was simulated for CuKα.
Neutral-atom scattering factors, no anomalous dispersion.

The 10 most intense peaks (5° ≤ 2θ ≤ 70°), by angle:
- 2θ 10.91, d = 8.113 Å, I = 8
- 2θ 27.53, d = 3.240 Å, I = 100
- 2θ 37.77, d = 2.382 Å, I = 39
- 2θ 40.82, d = 2.210 Å, I = 36
- 2θ 44.68, d = 2.028 Å, I = 7
- 2θ 49.95, d = 1.826 Å, I = 19
- 2θ 56.82, d = 1.620 Å, I = 13
- 2θ 62.11, d = 1.494 Å, I = 15
- 2θ 66.09, d = 1.414 Å, I = 5
- 2θ 66.41, d = 1.408 Å, I = 16

Cell and atoms:
Cell: 9.5854 9.5854 9.5854 Å, 54.93 54.93 54.93°
Sites, in units of the cell vectors:
Tb 0.0000 0.5000 0.5000
Tb 0.5000 0.0000 0.5000
Tb 0.5000 0.5000 0.0000
Dy 0.0000 0.0000 0.0000
In 0.0000 0.0000 0.5000
In 0.0000 0.5000 0.0000
In 0.5000 0.0000 0.0000
In 0.5000 0.5000 0.5000
Te 0.2393 0.2393 0.7409
Te 0.2393 0.7409 0.2393
Te 0.2591 0.7607 0.7607
Te 0.2599 0.2599 0.2599
Te 0.7401 0.7401 0.7401
Te 0.7409 0.2393 0.2393
Te 0.7607 0.2591 0.7607
Te 0.7607 0.7607 0.2591

---

2.
Starting from a DFT-relaxed cell (GGA-PBE, Alexandria), the powder X-ray diffraction pattern of LiTi2P2O9 was simulated for CuKα.
Neutral-atom scattering factors, no anomalous dispersion.

The 10 most intense peaks (5° ≤ 2θ ≤ 70°), by angle:
- 2θ 12.58, d = 7.039 Å, I = 57
- 2θ 17.08, d = 5.192 Å, I = 71
- 2θ 18.04, d = 4.918 Å, I = 33
- 2θ 19.11, d = 4.643 Å, I = 52
- 2θ 22.05, d = 4.032 Å, I = 53
- 2θ 24.00, d = 3.708 Å, I = 100
- 2θ 27.87, d = 3.201 Å, I = 68
- 2θ 30.05, d = 2.974 Å, I = 34
- 2θ 30.93, d = 2.891 Å, I = 61
- 2θ 56.43, d = 1.631 Å, I = 29

Cell and atoms:
Cell: 14.0781 6.3990 7.6882 Å, 90.00 90.00 90.00°
Sites, in units of the cell vectors:
Li 0.2340 0.2500 0.0428
Li 0.2660 0.7500 0.5428
Li 0.7340 0.2500 0.4572
Li 0.7660 0.7500 0.9572
Ti 0.0000 0.0000 0.0000
Ti 0.0000 0.5000 0.0000
Ti 0.1202 0.2500 0.6468
Ti 0.3798 0.7500 0.1468
Ti 0.5000 0.0000 0.5000
Ti 0.5000 0.5000 0.5000
Ti 0.6202 0.2500 0.8532
Ti 0.8798 0.7500 0.3532
P 0.0665 0.7500 0.6431
P 0.1907 0.7500 0.1173
P 0.3093 0.2500 0.6173
P 0.4335 0.2500 0.1431
P 0.5665 0.7500 0.8569
P 0.6907 0.7500 0.3827
P 0.8093 0.2500 0.8827
P 0.9335 0.2500 0.3569
O 0.0131 0.2500 0.4917
O 0.0203 0.7500 0.8295
O 0.0558 0.2500 0.8612
O 0.1287 0.5496 0.1012
O 0.1287 0.9504 0.1012
O 0.1319 0.5594 0.6266
O 0.1319 0.9406 0.6266
O 0.2306 0.2500 0.4763
O 0.2499 0.2500 0.7880
O 0.2501 0.7500 0.2880
O 0.2694 0.7500 0.9763
O 0.3681 0.0594 0.1266
O 0.3681 0.4406 0.1266
O 0.3713 0.0496 0.6012
O 0.3713 0.4504 0.6012
O 0.4442 0.7500 0.3612
O 0.4797 0.2500 0.3295
O 0.4869 0.7500 0.9917
O 0.5131 0.2500 0.0083
O 0.5203 0.7500 0.6705
O 0.5558 0.2500 0.6388
O 0.6287 0.5496 0.3988
O 0.6287 0.9504 0.3988
O 0.6319 0.5594 0.8734
O 0.6319 0.9406 0.8734
O 0.7306 0.2500 0.0237
O 0.7499 0.2500 0.7120
O 0.7501 0.7500 0.2120
O 0.7694 0.7500 0.5237
O 0.8681 0.0594 0.3734
O 0.8681 0.4406 0.3734
O 0.8713 0.0496 0.8988
O 0.8713 0.4504 0.8988
O 0.9442 0.7500 0.1388
O 0.9797 0.2500 0.1705
O 0.9869 0.7500 0.5083

---

3.
Starting from a DFT-relaxed cell (GGA-PBE, Alexandria), the powder X-ray diffraction pattern of Pa2Hg3Pb3 was simulated for CuKα.
Neutral-atom scattering factors, no anomalous dispersion.

The 10 most intense peaks (5° ≤ 2θ ≤ 70°), by angle:
- 2θ 29.64, d = 3.014 Å, I = 27
- 2θ 31.95, d = 2.802 Å, I = 100
- 2θ 34.48, d = 2.601 Å, I = 41
- 2θ 37.09, d = 2.424 Å, I = 30
- 2θ 38.23, d = 2.354 Å, I = 35
- 2θ 47.15, d = 1.928 Å, I = 12
- 2θ 52.33, d = 1.748 Å, I = 19
- 2θ 59.22, d = 1.560 Å, I = 10
- 2θ 62.25, d = 1.492 Å, I = 11
- 2θ 65.19, d = 1.431 Å, I = 21

Cell and atoms:
Cell: 6.0857 6.0857 6.0857 Å, 84.14 84.14 84.14°
Sites, in units of the cell vectors:
Pa 0.1939 0.1939 0.1939
Pa 0.8061 0.8061 0.8061
Hg 0.2618 0.5000 0.7382
Hg 0.5000 0.7382 0.2618
Hg 0.7382 0.2618 0.5000
Pb 0.0000 0.7050 0.2950
Pb 0.2950 0.0000 0.7050
Pb 0.7050 0.2950 0.0000